Entry 1:
# CrCdIr
Computed powder X-ray diffraction pattern, Cu Ka. Input: a PBE-relaxed structure.
No peak broadening, texture or thermal motion is included.

Peak list (10 most intense, 10° ≤ 2θ ≤ 90°, low angle first)
15.06 deg, 5.881 Å, rel. 24
30.40 deg, 2.941 Å, rel. 14
32.66 deg, 2.742 Å, rel. 23
39.36 deg, 2.289 Å, rel. 100
45.49 deg, 1.994 Å, rel. 36
46.31 deg, 1.960 Å, rel. 12
64.56 deg, 1.443 Å, rel. 12
66.30 deg, 1.410 Å, rel. 11
66.94 deg, 1.398 Å, rel. 16
79.91 deg, 1.200 Å, rel. 25

Cell and atoms:
```
CrCdIr
1.0
-1.4098 1.4098 5.8811
1.4098 -1.4098 5.8811
1.4098 1.4098 -5.8811
Cr Cd Ir
1 1 1
Cartesian
0.0000 0.0000 0.0000 Cr
0.0000 0.0000 8.0285 Cd
0.0000 0.0000 4.3874 Ir
```

Entry 2:
# Cr2CdIr
Computed powder X-ray diffraction pattern, Cu Ka. Input: a PBE-relaxed structure.
No peak broadening, texture or thermal motion is included.

Peak list (10 most intense, 10° ≤ 2θ ≤ 90°, low angle first)
19.65 deg, 4.517 Å, rel. 29
23.52 deg, 3.783 Å, rel. 25
32.18 deg, 2.782 Å, rel. 29
32.81 deg, 2.730 Å, rel. 31
38.97 deg, 2.311 Å, rel. 56
40.13 deg, 2.247 Å, rel. 100
40.56 deg, 2.224 Å, rel. 45
44.36 deg, 2.042 Å, rel. 79
50.48 deg, 1.808 Å, rel. 20
68.34 deg, 1.373 Å, rel. 17

Cell and atoms:
```
Cr2CdIr
1.0
4.6599 -1.4342 0.0000
4.6599 1.4342 0.0000
-1.4110 0.0000 4.5172
Cr Cd Ir
2 1 1
Cartesian
0.0000 0.0000 0.0000 Cr
6.3337 0.0000 1.0280 Cr
3.8391 0.0000 2.2359 Cd
1.2985 0.0000 3.6040 Ir
```

Entry 3:
# KCrCd2
Computed powder X-ray diffraction pattern, Cu Ka. Input: a PBE-relaxed structure.
No peak broadening, texture or thermal motion is included.

Peak list (10 most intense, 10° ≤ 2θ ≤ 90°, low angle first)
11.58 deg, 7.643 Å, rel. 100
22.12 deg, 4.018 Å, rel. 35
30.08 deg, 2.971 Å, rel. 89
35.23 deg, 2.548 Å, rel. 24
35.71 deg, 2.514 Å, rel. 82
38.10 deg, 2.362 Å, rel. 30
41.27 deg, 2.188 Å, rel. 28
41.39 deg, 2.181 Å, rel. 28
49.29 deg, 1.849 Å, rel. 15
52.86 deg, 1.732 Å, rel. 14

Cell and atoms:
```
KCrCd2
1.0
3.2232 0.0000 0.0000
0.0000 4.7237 0.0000
-0.0288 0.0000 7.6435
K Cr Cd
1 1 2
Cartesian
0.0000 0.0000 0.0000 K
-0.0071 2.3619 4.7338 Cr
1.6032 2.3619 2.3114 Cd
1.6027 0.0000 4.3611 Cd
```

Entry 4:
# LiCrCd
Computed powder X-ray diffraction pattern, Cu Ka. Input: a PBE-relaxed structure.
No peak broadening, texture or thermal motion is included.

Peak list (10 most intense, 10° ≤ 2θ ≤ 90°, low angle first)
12.28 deg, 7.205 Å, rel. 100
24.71 deg, 3.602 Å, rel. 23
34.67 deg, 2.588 Å, rel. 26
36.91 deg, 2.435 Å, rel. 97
37.45 deg, 2.402 Å, rel. 24
43.04 deg, 2.102 Å, rel. 60
51.95 deg, 1.760 Å, rel. 16
62.13 deg, 1.494 Å, rel. 15
62.86 deg, 1.478 Å, rel. 19
74.85 deg, 1.269 Å, rel. 16

Cell and atoms:
```
LiCrCd
1.0
2.9879 0.0000 0.0000
-1.4940 2.5876 0.0000
0.0000 0.0000 7.2048
Li Cr Cd
1 1 1
Cartesian
0.0000 0.0000 0.0000 Li
0.0000 1.7251 4.8811 Cr
1.4940 0.8625 2.4495 Cd
```

Entry 5:
# Li4CrCd
Computed powder X-ray diffraction pattern, Cu Ka. Input: a PBE-relaxed structure.
No peak broadening, texture or thermal motion is included.

Peak list (10 most intense, 10° ≤ 2θ ≤ 90°, low angle first)
20.77 deg, 4.278 Å, rel. 100
24.02 deg, 3.705 Å, rel. 14
34.23 deg, 2.620 Å, rel. 88
40.38 deg, 2.234 Å, rel. 72
49.19 deg, 1.852 Å, rel. 11
53.94 deg, 1.700 Å, rel. 22
61.29 deg, 1.512 Å, rel. 29
65.46 deg, 1.426 Å, rel. 21
75.99 deg, 1.252 Å, rel. 15
82.31 deg, 1.171 Å, rel. 12

Cell and atoms:
```
Li4CrCd
1.0
0.0000 3.7045 3.7045
3.7045 0.0000 3.7045
3.7045 3.7045 0.0000
Li Cr Cd
4 1 1
Cartesian
0.9283 0.9283 0.9283 Li
2.7762 2.7762 0.9283 Li
2.7762 0.9283 2.7762 Li
0.9283 2.7762 2.7762 Li
3.7045 3.7045 3.7045 Cr
5.5568 5.5568 5.5568 Cd
```

Entry 6:
# LiCrCd
Computed powder X-ray diffraction pattern, Cu Ka. Input: a PBE-relaxed structure.
No peak broadening, texture or thermal motion is included.

Peak list (10 most intense, 10° ≤ 2θ ≤ 90°, low angle first)
18.77 deg, 4.727 Å, rel. 44
28.48 deg, 3.134 Å, rel. 78
38.33 deg, 2.348 Å, rel. 55
39.41 deg, 2.286 Å, rel. 100
43.00 deg, 2.103 Å, rel. 21
55.13 deg, 1.666 Å, rel. 14
55.32 deg, 1.661 Å, rel. 18
63.39 deg, 1.467 Å, rel. 15
70.03 deg, 1.344 Å, rel. 33
72.19 deg, 1.309 Å, rel. 15

Cell and atoms:
```
LiCrCd
1.0
-1.6606 1.6606 4.7275
1.6606 -1.6606 4.7275
1.6606 1.6606 -4.7275
Li Cr Cd
1 1 1
Cartesian
0.0000 0.0000 0.0000 Li
0.0000 0.0000 3.2056 Cr
0.0000 0.0000 6.2684 Cd
```

Entry 7:
# Mg14CrCd
Computed powder X-ray diffraction pattern, Cu Ka. Input: a PBE-relaxed structure.
No peak broadening, texture or thermal motion is included.

Peak list (10 most intense, 10° ≤ 2θ ≤ 90°, low angle first)
16.30 deg, 5.437 Å, rel. 27
23.76 deg, 3.745 Å, rel. 20
32.95 deg, 2.718 Å, rel. 27
34.74 deg, 2.583 Å, rel. 27
37.38 deg, 2.406 Å, rel. 100
48.63 deg, 1.872 Å, rel. 17
58.84 deg, 1.569 Å, rel. 16
64.01 deg, 1.455 Å, rel. 19
70.17 deg, 1.341 Å, rel. 19
71.82 deg, 1.314 Å, rel. 13

Cell and atoms:
```
Mg14CrCd
1.0
6.2780 0.0000 0.0000
-3.1390 5.4369 0.0000
0.0000 0.0000 10.3306
Mg Cr Cd
14 1 1
Cartesian
0.0000 0.0000 2.5673 Mg
0.0000 0.0000 7.7632 Mg
-1.5461 2.7319 2.5304 Mg
-1.5461 2.7319 7.8002 Mg
1.5677 0.9051 0.0000 Mg
1.5668 0.9046 5.1653 Mg
1.5461 2.7319 2.5304 Mg
1.5461 2.7319 7.8002 Mg
0.0000 5.4099 2.5304 Mg
0.0000 5.4099 7.8002 Mg
4.7103 0.9051 0.0000 Mg
4.7112 0.9046 5.1653 Mg
3.1390 3.6267 0.0000 Mg
3.1390 3.6277 5.1653 Mg
0.0000 3.6246 0.0000 Cr
0.0000 3.6246 5.1653 Cd
```

- Number 1 is which compound?
  CrCdIr